For CeSb, a DFT-relaxed cell (PBE, Alexandria) gives the calculated powder diffractogram in this record (Cu Kα, 1.54184 Å).
No peak broadening, texture or thermal motion is included.

Main lines, by angle (2θ = 10–90°):
h k l	two_theta	intensity
1 1 1	24.21	0.9
2 0 0	28.03	100.0
2 2 0	40.06	76.4
2 2 2	49.60	27.4
4 0 0	57.94	12.8
4 2 0	65.58	35.1
4 2 2	72.77	25.9
4 4 0	86.47	8.4

Crystal structure
Cell: 6.3666 6.3666 6.3666 Å, 90.00 90.00 90.00°
Space group Fm-3m (No. 225)
Symmetry-distinct sites (fractional):
Ce 0.0000 0.0000 0.0000
Sb 0.0000 0.0000 0.5000

---

For Ce4Sb3, a DFT-relaxed cell (PBE, Alexandria) gives the calculated powder diffractogram in this record (Cu Kα, 1.54184 Å).
No peak broadening, texture or thermal motion is included.

Main lines, by angle (2θ = 10–90°):
h k l	two_theta	intensity
3 1 0	29.87	100.0
3 2 1	35.51	70.6
4 2 0	42.75	11.4
3 3 2	44.94	8.8
4 2 2	47.06	18.0
4 3 1	49.10	20.7
6 1 1	60.31	26.2
6 2 0	62.05	12.0
5 4 1	63.76	14.9
4 4 4	68.75	6.0
5 5 2	73.57	14.5
7 4 3	89.02	10.4

Crystal structure
Cell: 9.4602 9.4602 9.4602 Å, 90.00 90.00 90.00°
Space group I-43d (No. 220)
Symmetry-distinct sites (fractional):
Ce 0.0739 0.0739 0.0739
Sb 0.0000 0.2500 0.3750

---

For Ce4ScSb6, a DFT-relaxed cell (PBE, Alexandria) gives the calculated powder diffractogram in this record (Cu Kα, 1.54184 Å).
No peak broadening, texture or thermal motion is included.

Main lines, by angle (2θ = 10–90°):
h k l	two_theta	intensity
1 2 2	25.37	36.1
0 2 4	28.81	31.0
1 3 1	31.45	86.6
2 1 4	32.49	65.6
2 2 3	34.52	100.0
0 0 6	34.95	28.1
1 2 5	37.02	20.3
4 1 0	39.57	20.2
3 2 4	44.56	21.1
5 3 2	63.56	30.5
5 0 8	66.03	23.8
3 5 4	67.35	24.2

Crystal structure
Cell: 12.0512 12.0512 15.4051 Å, 90.00 90.00 120.00°
Space group R-3c (No. 167, hexagonal axes)
Symmetry-distinct sites (fractional):
Ce 0.0000 0.0000 0.2500
Ce 0.0000 0.3854 0.2500
Sc 0.0000 0.0000 0.0000
Sb 0.0324 0.2085 0.3899

---

For Ce5ScSb5, a DFT-relaxed cell (PBE, Alexandria) gives the calculated powder diffractogram in this record (Cu Kα, 1.54184 Å).
No peak broadening, texture or thermal motion is included.

Main lines, by angle (2θ = 10–90°):
h k l	two_theta	intensity
0 2 0	28.55	100.0
2 0 2	28.90	47.9
4 2 -2	40.82	37.7
2 2 2	41.05	55.1
2 0 -4	41.15	18.1
6 2 0	50.78	39.0
0 4 0	59.02	6.3
4 4 -2	66.87	8.7
8 2 -4	66.98	8.3
2 4 2	67.06	12.6
4 2 4	67.62	11.7
6 4 0	74.45	18.3

Crystal structure
Cell: 13.9469 6.2605 8.7751 Å, 90.00 108.94 90.00°
Space group C2/m (No. 12)
Symmetry-distinct sites (fractional):
Ce 0.0000 0.0000 0.0000
Ce 0.1610 0.5000 0.3244
Ce 0.1716 0.5000 0.8343
Sc 0.0000 0.0000 0.5000
Sb 0.0000 0.5000 0.5000
Sb 0.1612 0.0000 0.8220
Sb 0.1638 0.0000 0.3436

---

For Ce3Th4ScSb8, a DFT-relaxed cell (PBE, Alexandria) gives the calculated powder diffractogram in this record (Cu Kα, 1.54184 Å).
No peak broadening, texture or thermal motion is included.

Main lines, by angle (2θ = 10–90°):
h k l	two_theta	intensity
0 0 3	12.14	6.3
0 2 1	23.34	6.5
0 0 6	24.40	5.1
0 2 4	28.25	100.0
2 0 5	30.84	4.6
2 2 0	40.37	76.7
0 2 10	47.74	3.0
4 0 4	50.00	27.5
0 4 8	58.42	12.9
2 4 4	66.13	35.3
6 0 0	73.41	26.0
4 4 0	87.29	8.5

Crystal structure
Cell: 8.9387 8.9387 21.8763 Å, 90.00 90.00 120.00°
Space group R-3m (No. 166, hexagonal axes)
Symmetry-distinct sites (fractional):
Ce 0.0000 0.5000 0.0000
Th 0.0000 0.0000 0.5000
Th 0.0000 0.5000 0.5000
Sc 0.0000 0.0000 0.0000
Sb 0.0000 0.0000 0.2507
Sb 0.0085 0.5043 0.7471

---

For Ce3Sb3Se, a DFT-relaxed cell (PBE, Alexandria) gives the calculated powder diffractogram in this record (Cu Kα, 1.54184 Å).
No peak broadening, texture or thermal motion is included.

Main lines, by angle (2θ = 10–90°):
h k l	two_theta	intensity
2 0 -1	23.50	20.4
1 3 1	25.25	100.0
2 2 1	27.24	19.9
3 1 0	31.99	29.4
1 3 2	32.12	88.2
2 2 -2	33.50	73.5
3 1 -1	33.90	26.0
3 1 1	34.07	19.3
3 3 0	37.38	25.9
0 6 0	40.60	33.4
2 4 -2	41.11	25.1
1 9 1	64.99	19.0

Crystal structure
Cell: 8.5851 13.3313 7.9029 Å, 90.00 90.51 90.00°
Space group C2/m (No. 12)
Symmetry-distinct sites (fractional):
Ce 0.0722 0.0000 0.2805
Ce 0.1836 0.3280 0.2218
Sb 0.0000 0.1664 0.0000
Sb 0.0000 0.2086 0.5000
Sb 0.0935 0.5000 0.8596
Se 0.2423 0.5000 0.4174

---

For Ce4SbSe2, a DFT-relaxed cell (PBE, Alexandria) gives the calculated powder diffractogram in this record (Cu Kα, 1.54184 Å).
No peak broadening, texture or thermal motion is included.

Main lines, by angle (2θ = 10–90°):
h k l	two_theta	intensity
0 2 2	18.56	40.1
0 0 4	26.31	23.8
0 4 0	26.41	24.8
2 2 2	26.81	21.3
1 3 3	29.64	62.4
3 1 1	30.45	100.0
1 1 5	35.14	41.2
1 5 1	35.26	39.9
2 4 2	35.46	28.9
0 4 4	37.62	31.3
3 5 1	45.08	23.9
4 2 4	49.61	35.3

Crystal structure
Cell: 9.2543 13.4997 13.5507 Å, 90.00 90.00 90.00°
Space group Fddd (No. 70, origin choice 2)
Symmetry-distinct sites (fractional):
Ce 0.0559 0.2855 0.4635
Sb 0.1250 0.1250 0.6250
Se 0.0000 0.0000 0.0000

---

For Ce4Sb3Se, a DFT-relaxed cell (PBE, Alexandria) gives the calculated powder diffractogram in this record (Cu Kα, 1.54184 Å).
No peak broadening, texture or thermal motion is included.

Main lines, by angle (2θ = 10–90°):
h k l	two_theta	intensity
1 2 1	28.45	100.0
1 2 -3	40.61	38.1
2 0 2	40.74	37.6
0 0 4	50.33	20.3
4 0 0	50.55	6.6
2 4 2	58.88	12.5
0 4 4	66.58	17.2
3 2 3	66.76	16.9
1 2 5	73.91	10.6
4 4 -4	74.00	8.3
5 2 1	74.24	6.1
2 4 -6	87.91	4.1

Crystal structure
Cell: 7.6623 8.8852 7.6960 Å, 90.00 109.50 90.00°
Space group P2/c (No. 13)
Symmetry-distinct sites (fractional):
Ce 0.2402 0.1199 0.0008
Ce 0.2462 0.3698 0.4948
Sb 0.0000 0.3745 0.7500
Sb 0.5000 0.1245 0.7500
Sb 0.5000 0.3746 0.2500
Se 0.0000 0.1241 0.2500